This entry pairs a crystal structure of Na2Ti2O5 with its computed PXRD pattern. Radiation: Cu Kα. Structure: a GGA-PBE-relaxed structure.
No peak broadening, texture or thermal motion is included.

Structural model:
abc: 8.904 5.508 12.531
angles: 90.00 104.18 90.00
Sites, in units of the cell vectors:
Na  0.120  0.226  0.056
Na  0.120  0.274  0.556
Na  0.356  0.696  0.529
Na  0.356  0.804  0.029
Na  0.644  0.196  0.971
Na  0.644  0.304  0.471
Na  0.880  0.726  0.444
Na  0.880  0.774  0.944
Ti  0.098  0.696  0.228
Ti  0.098  0.804  0.728
Ti  0.477  0.673  0.821
Ti  0.477  0.827  0.321
Ti  0.523  0.173  0.679
Ti  0.523  0.327  0.179
Ti  0.902  0.196  0.272
Ti  0.902  0.304  0.772
O  0.054  0.136  0.723
O  0.054  0.364  0.223
O  0.110  0.712  0.596
O  0.110  0.788  0.096
O  0.279  0.749  0.836
O  0.279  0.751  0.336
O  0.389  0.235  0.060
O  0.389  0.265  0.560
O  0.496  0.161  0.302
O  0.496  0.339  0.802
O  0.504  0.661  0.198
O  0.504  0.839  0.698
O  0.611  0.735  0.440
O  0.611  0.765  0.940
O  0.721  0.249  0.664
O  0.721  0.251  0.164
O  0.890  0.212  0.904
O  0.890  0.288  0.404
O  0.946  0.636  0.777
O  0.946  0.864  0.277

Main lines, low angle first (2θ = 10–90°):
- (0 0 2), 6.075 Å, 2θ = 14.58°, I 72
- (1 1 0), 4.643 Å, 2θ = 19.11°, I 51
- (2 0 0), 4.316 Å, 2θ = 20.58°, I 62
- (1 1 -2), 3.949 Å, 2θ = 22.52°, I 78
- (2 0 2), 3.171 Å, 2θ = 28.14°, I 52
- (1 0 -4), 3.114 Å, 2θ = 28.67°, I 32
- (3 0 -2), 2.890 Å, 2θ = 30.94°, I 61
- (0 2 0), 2.753 Å, 2θ = 32.53°, I 100